(1)
The following is a simulated powder diffractogram of NaYFe4O12. It was derived from a DFT-relaxed cell (PBE+U, the Materials Project), using Cu Ka.
Kinematic intensities with the Lorentz-polarization factor, no thermal factor.

Most intense lines, 2θ = 10–90°, by angle:
d = 7.622 Å, 11.61°, rel. 15; d = 5.371 Å, 16.50°, rel. 14; d = 4.391 Å, 20.23°, rel. 40; d = 3.802 Å, 23.40°, rel. 58; d = 2.689 Å, 33.32°, rel. 100; d = 2.291 Å, 39.33°, rel. 13; d = 1.906 Å, 47.73°, rel. 19; d = 1.899 Å, 47.90°, rel. 40; d = 1.699 Å, 53.97°, rel. 12; d = 1.554 Å, 59.48°, rel. 13; d = 1.551 Å, 59.59°, rel. 25; d = 1.345 Å, 69.94°, rel. 20

Cell and atoms:
```
data_NaYFe4O12
_cell_length_a 5.371
_cell_length_b 5.371
_cell_length_c 7.622
_cell_angle_alpha 90.00
_cell_angle_beta 90.00
_cell_angle_gamma 90.00
_symmetry_space_group_name_H-M 'P 4/m m m'
_symmetry_Int_Tables_number 123
_symmetry_space_group_name_Hall '-P 4 2'
loop_
_atom_site_label
_atom_site_type_symbol
_atom_site_fract_x
_atom_site_fract_y
_atom_site_fract_z
Na1 Na 0.000 0.000 0.000
Y1 Y 0.500 0.500 0.500
Fe1 Fe 0.000 0.500 0.245
O1 O 0.000 0.500 0.000
O2 O 0.000 0.500 0.500
O3 O 0.261 0.261 0.268
```

(2)
The following is a simulated powder diffractogram of NbFeO4. It was derived from a DFT-relaxed cell (PBE+U, the Materials Project), using Cu Ka.
Kinematic intensities with the Lorentz-polarization factor, no thermal factor.

Most intense lines, 2θ = 10–90°, by angle:
d = 6.446 Å, 13.74°, rel. 32; d = 5.286 Å, 16.77°, rel. 24; d = 3.864 Å, 23.02°, rel. 29; d = 3.710 Å, 23.98°, rel. 100; d = 3.223 Å, 27.68°, rel. 54; d = 3.129 Å, 28.53°, rel. 29; d = 2.799 Å, 31.98°, rel. 50; d = 2.554 Å, 35.14°, rel. 23; d = 2.149 Å, 42.05°, rel. 19; d = 2.117 Å, 42.72°, rel. 22; d = 1.949 Å, 46.60°, rel. 30; d = 1.644 Å, 55.92°, rel. 37

Cell and atoms:
```
data_NbFeO4
_cell_length_a 12.701
_cell_length_b 3.898
_cell_length_c 6.767
_cell_angle_alpha 90.00
_cell_angle_beta 107.70
_cell_angle_gamma 90.00
_symmetry_space_group_name_H-M 'C 1 2 1'
_symmetry_Int_Tables_number 5
loop_
_symmetry_equiv_pos_as_xyz
'x,y,z'
'-x,y,-z'
'x+1/2,y+1/2,z'
'-x+1/2,y+1/2,-z'
loop_
_atom_site_label
_atom_site_type_symbol
_atom_site_fract_x
_atom_site_fract_y
_atom_site_fract_z
Nb1 Nb 0.104 0.000 0.230
Fe1 Fe 0.199 0.998 0.814
O1 O 0.054 0.002 0.864
O2 O 0.136 0.499 0.203
O3 O 0.138 0.994 0.512
O4 O 0.244 0.498 0.855
```

(3)
The following is a simulated powder diffractogram of Nb2FeO6. It was derived from a DFT-relaxed cell (PBE+U, the Materials Project), using Cu Ka.
Kinematic intensities with the Lorentz-polarization factor, no thermal factor.

Most intense lines, 2θ = 10–90°, by angle:
d = 3.855 Å, 23.07°, rel. 42; d = 3.551 Å, 25.08°, rel. 100; d = 3.151 Å, 28.32°, rel. 45; d = 2.949 Å, 30.31°, rel. 13; d = 2.766 Å, 32.37°, rel. 25; d = 2.559 Å, 35.07°, rel. 20; d = 1.979 Å, 45.86°, rel. 15; d = 1.927 Å, 47.17°, rel. 15; d = 1.834 Å, 49.70°, rel. 18; d = 1.818 Å, 50.18°, rel. 13; d = 1.730 Å, 52.92°, rel. 12; d = 1.725 Å, 53.10°, rel. 12

Cell and atoms:
```
data_Nb2FeO6
_cell_length_a 15.283
_cell_length_b 5.898
_cell_length_c 5.468
_cell_angle_alpha 90.00
_cell_angle_beta 90.00
_cell_angle_gamma 90.00
_symmetry_space_group_name_H-M 'P b c n'
_symmetry_Int_Tables_number 60
loop_
_symmetry_equiv_pos_as_xyz
'x,y,z'
'-x,-y,-z'
'-x+1/2,-y+1/2,z+1/2'
'x+1/2,y+1/2,-z+1/2'
'x+1/2,-y+1/2,-z'
'-x+1/2,y+1/2,z'
'-x,y,-z+1/2'
'x,-y,z+1/2'
loop_
_atom_site_label
_atom_site_type_symbol
_atom_site_fract_x
_atom_site_fract_y
_atom_site_fract_z
Nb1 Nb 0.162 0.181 0.064
Fe1 Fe 0.000 0.340 0.750
O1 O 0.077 0.403 0.052
O2 O 0.106 0.067 0.724
O3 O 0.233 0.295 0.324
```

(4)
The following is a simulated powder diffractogram of NbFeO4. It was derived from a DFT-relaxed cell (PBE+U, the Materials Project), using Cu Ka.
Kinematic intensities with the Lorentz-polarization factor, no thermal factor.

Most intense lines, 2θ = 10–90°, by angle:
d = 3.621 Å, 24.58°, rel. 69; d = 2.962 Å, 30.17°, rel. 51; d = 2.945 Å, 30.35°, rel. 100; d = 2.938 Å, 30.42°, rel. 50; d = 2.538 Å, 35.37°, rel. 27; d = 2.478 Å, 36.26°, rel. 18; d = 2.459 Å, 36.55°, rel. 17; d = 1.730 Å, 52.94°, rel. 20; d = 1.726 Å, 53.07°, rel. 19; d = 1.704 Å, 53.79°, rel. 26; d = 1.451 Å, 64.21°, rel. 19; d = 1.445 Å, 64.49°, rel. 17

Cell and atoms:
```
data_NbFeO4
_cell_length_a 5.076
_cell_length_b 5.650
_cell_length_c 9.435
_cell_angle_alpha 89.78
_cell_angle_beta 89.87
_cell_angle_gamma 89.48
_symmetry_space_group_name_H-M 'P 1'
_symmetry_Int_Tables_number 1
loop_
_symmetry_equiv_pos_as_xyz
'x,y,z'
loop_
_atom_site_label
_atom_site_type_symbol
_atom_site_fract_x
_atom_site_fract_y
_atom_site_fract_z
Nb1 Nb 0.000 0.000 0.000
Nb2 Nb 0.006 0.496 0.242
Nb3 Nb 0.499 0.169 0.743
Nb4 Nb 0.506 0.669 0.499
Fe1 Fe 0.022 0.513 0.749
Fe2 Fe 0.025 0.005 0.493
Fe3 Fe 0.524 0.654 0.993
Fe4 Fe 0.527 0.155 0.251
O1 O 0.185 0.744 0.608
O2 O 0.187 0.201 0.134
O3 O 0.188 0.240 0.635
O4 O 0.188 0.700 0.110
O5 O 0.342 0.965 0.388
O6 O 0.347 0.955 0.880
O7 O 0.350 0.460 0.365
O8 O 0.357 0.458 0.856
O9 O 0.686 0.469 0.634
O10 O 0.690 0.433 0.137
O11 O 0.690 0.934 0.112
O12 O 0.693 0.973 0.605
O13 O 0.841 0.709 0.378
O14 O 0.844 0.212 0.864
O15 O 0.857 0.712 0.886
O16 O 0.861 0.206 0.362
```

(5)
The following is a simulated powder diffractogram of Nb2FeO6. It was derived from a DFT-relaxed cell (PBE+U, the Materials Project), using Cu Ka.
Kinematic intensities with the Lorentz-polarization factor, no thermal factor.

Most intense lines, 2θ = 10–90°, by angle:
d = 3.731 Å, 23.85°, rel. 33; d = 3.014 Å, 29.64°, rel. 100; d = 2.939 Å, 30.41°, rel. 10; d = 2.557 Å, 35.10°, rel. 13; d = 2.548 Å, 35.22°, rel. 14; d = 2.109 Å, 42.88°, rel. 8; d = 1.816 Å, 50.25°, rel. 14; d = 1.754 Å, 52.14°, rel. 38; d = 1.550 Å, 59.64°, rel. 14; d = 1.486 Å, 62.51°, rel. 12; d = 1.480 Å, 62.77°, rel. 13; d = 1.474 Å, 63.05°, rel. 8

Cell and atoms:
```
data_Nb2FeO6
_cell_length_a 14.490
_cell_length_b 5.879
_cell_length_c 5.113
_cell_angle_alpha 90.00
_cell_angle_beta 90.00
_cell_angle_gamma 90.00
_symmetry_space_group_name_H-M 'P b c n'
_symmetry_Int_Tables_number 60
loop_
_symmetry_equiv_pos_as_xyz
'x,y,z'
'-x,-y,-z'
'-x+1/2,-y+1/2,z+1/2'
'x+1/2,y+1/2,-z+1/2'
'x+1/2,-y+1/2,-z'
'-x+1/2,y+1/2,z'
'-x,y,-z+1/2'
'x,-y,z+1/2'
loop_
_atom_site_label
_atom_site_type_symbol
_atom_site_fract_x
_atom_site_fract_y
_atom_site_fract_z
Nb1 Nb 0.161 0.182 0.246
Fe1 Fe 0.000 0.334 0.750
O1 O 0.080 0.383 0.399
O2 O 0.097 0.103 0.922
O3 O 0.245 0.127 0.573
```

(6)
The following is a simulated powder diffractogram of Nb2FeO6. It was derived from a DFT-relaxed cell (PBE+U, the Materials Project), using Cu Ka.
Kinematic intensities with the Lorentz-polarization factor, no thermal factor.

Most intense lines, 2θ = 10–90°, by angle:
d = 3.806 Å, 23.37°, rel. 19; d = 3.789 Å, 23.48°, rel. 100; d = 3.490 Å, 25.52°, rel. 93; d = 3.475 Å, 25.64°, rel. 97; d = 2.718 Å, 32.96°, rel. 38; d = 2.703 Å, 33.14°, rel. 30; d = 2.520 Å, 35.62°, rel. 50; d = 2.492 Å, 36.03°, rel. 20; d = 1.948 Å, 46.64°, rel. 22; d = 1.941 Å, 46.81°, rel. 22; d = 1.812 Å, 50.35°, rel. 27; d = 1.810 Å, 50.41°, rel. 19

Cell and atoms:
```
data_Nb2FeO6
_cell_length_a 5.333
_cell_length_b 5.831
_cell_length_c 14.955
_cell_angle_alpha 89.93
_cell_angle_beta 89.58
_cell_angle_gamma 89.97
_symmetry_space_group_name_H-M 'P 1'
_symmetry_Int_Tables_number 1
loop_
_symmetry_equiv_pos_as_xyz
'x,y,z'
loop_
_atom_site_label
_atom_site_type_symbol
_atom_site_fract_x
_atom_site_fract_y
_atom_site_fract_z
Nb1 Nb 0.000 0.000 0.000
Nb2 Nb 0.005 0.497 0.830
Nb3 Nb 0.026 0.159 0.500
Nb4 Nb 0.032 0.657 0.331
Nb5 Nb 0.500 0.656 0.000
Nb6 Nb 0.506 0.159 0.830
Nb7 Nb 0.526 0.496 0.500
Nb8 Nb 0.532 0.999 0.331
Fe1 Fe 0.264 0.178 0.165
Fe2 Fe 0.266 0.685 0.665
Fe3 Fe 0.763 0.478 0.165
Fe4 Fe 0.765 0.971 0.665
O1 O 0.106 0.941 0.584
O2 O 0.108 0.437 0.248
O3 O 0.177 0.686 0.924
O4 O 0.179 0.187 0.906
O5 O 0.209 0.425 0.564
O6 O 0.220 0.921 0.267
O7 O 0.312 0.920 0.063
O8 O 0.322 0.426 0.767
O9 O 0.353 0.187 0.424
O10 O 0.355 0.686 0.407
O11 O 0.424 0.436 0.083
O12 O 0.424 0.941 0.747
O13 O 0.607 0.219 0.248
O14 O 0.607 0.714 0.584
O15 O 0.677 0.970 0.924
O16 O 0.679 0.469 0.906
O17 O 0.709 0.229 0.564
O18 O 0.720 0.734 0.267
O19 O 0.812 0.736 0.063
O20 O 0.822 0.231 0.767
O21 O 0.853 0.468 0.424
O22 O 0.855 0.969 0.406
O23 O 0.924 0.221 0.083
O24 O 0.925 0.715 0.747
```

(7)
The following is a simulated powder diffractogram of NbFeO4. It was derived from a DFT-relaxed cell (PBE+U, the Materials Project), using Cu Ka.
Kinematic intensities with the Lorentz-polarization factor, no thermal factor.

Most intense lines, 2θ = 10–90°, by angle:
d = 3.737 Å, 23.81°, rel. 16; d = 3.543 Å, 25.13°, rel. 71; d = 2.928 Å, 30.54°, rel. 100; d = 2.864 Å, 31.23°, rel. 94; d = 2.511 Å, 35.76°, rel. 27; d = 2.443 Å, 36.79°, rel. 35; d = 1.727 Å, 53.04°, rel. 27; d = 1.718 Å, 53.33°, rel. 22; d = 1.683 Å, 54.52°, rel. 26; d = 1.667 Å, 55.09°, rel. 17; d = 1.659 Å, 55.40°, rel. 26; d = 1.436 Å, 64.92°, rel. 21

Cell and atoms:
```
data_NbFeO4
_cell_length_a 4.582
_cell_length_b 5.593
_cell_length_c 5.025
_cell_angle_alpha 90.00
_cell_angle_beta 91.73
_cell_angle_gamma 90.00
_symmetry_space_group_name_H-M 'P 1 2/c 1'
_symmetry_Int_Tables_number 13
loop_
_symmetry_equiv_pos_as_xyz
'x,y,z'
'-x,-y,-z'
'-x,y,-z+1/2'
'x,-y,z+1/2'
loop_
_atom_site_label
_atom_site_type_symbol
_atom_site_fract_x
_atom_site_fract_y
_atom_site_fract_z
Nb1 Nb 0.000 0.180 0.250
Fe1 Fe 0.500 0.356 0.750
O1 O 0.231 0.117 0.584
O2 O 0.276 0.387 0.075
```

(8)
The following is a simulated powder diffractogram of Nb2FeO6. It was derived from a DFT-relaxed cell (PBE+U, the Materials Project), using Cu Ka.
Kinematic intensities with the Lorentz-polarization factor, no thermal factor.

Most intense lines, 2θ = 10–90°, by angle:
d = 7.477 Å, 11.84°, rel. 19; d = 3.806 Å, 23.37°, rel. 19; d = 3.789 Å, 23.48°, rel. 100; d = 3.490 Å, 25.52°, rel. 93; d = 3.475 Å, 25.64°, rel. 98; d = 2.718 Å, 32.96°, rel. 38; d = 2.703 Å, 33.14°, rel. 30; d = 2.520 Å, 35.62°, rel. 50; d = 2.492 Å, 36.03°, rel. 20; d = 1.948 Å, 46.64°, rel. 22; d = 1.941 Å, 46.81°, rel. 22; d = 1.812 Å, 50.37°, rel. 45

Cell and atoms:
```
data_Nb2FeO6
_cell_length_a 14.955
_cell_length_b 5.831
_cell_length_c 5.333
_cell_angle_alpha 90.00
_cell_angle_beta 90.42
_cell_angle_gamma 90.00
_symmetry_space_group_name_H-M 'P 1 2/c 1'
_symmetry_Int_Tables_number 13
loop_
_symmetry_equiv_pos_as_xyz
'x,y,z'
'-x,-y,-z'
'-x,y,-z+1/2'
'x,-y,z+1/2'
loop_
_atom_site_label
_atom_site_type_symbol
_atom_site_fract_x
_atom_site_fract_y
_atom_site_fract_z
Nb1 Nb 0.165 0.169 0.010
Nb2 Nb 0.335 0.328 0.516
Fe1 Fe 0.000 0.357 0.750
Fe2 Fe 0.500 0.150 0.250
O1 O 0.082 0.386 0.091
O2 O 0.102 0.098 0.694
O3 O 0.241 0.140 0.337
O4 O 0.259 0.358 0.839
O5 O 0.398 0.408 0.204
O6 O 0.418 0.109 0.591
```